# 1
For LuZrIr, a crystal structure in Alexandria, relaxed with GGA-PBE gives the calculated XRD peak list in this record (Cu Kα).

Top 8 peaks for 15° ≤ 2θ ≤ 90°, in order of rising 2θ:
23.52°, I = 49; 38.88°, I = 100; 45.94°, I = 26; 56.16°, I = 17; 61.71°, I = 11; 70.40°, I = 35; 83.46°, I = 11; 88.23°, I = 9

Structure:
```
12
Lattice="6.552 0.000 0.000 0.000 6.552 0.000 0.000 0.000 6.552" Properties=species:S:1:pos:R:3 pbc="T T T"
Lu 0.000 0.000 0.000
Lu 0.000 3.276 3.276
Lu 3.276 0.000 3.276
Lu 3.276 3.276 0.000
Zr 0.000 0.000 3.276
Zr 0.000 3.276 0.000
Zr 3.276 0.000 0.000
Zr 3.276 3.276 3.276
Ir 1.638 1.638 1.638
Ir 1.638 4.914 4.914
Ir 4.914 1.638 4.914
Ir 4.914 4.914 1.638
```

# 2
For Pm5Y12Ho2, a crystal structure in Alexandria, relaxed with GGA-PBE gives the calculated XRD peak list in this record (Cu Kα).

Top 8 peaks for 15° ≤ 2θ ≤ 90°, in order of rising 2θ:
30.54°, I = 100; 35.40°, I = 50; 50.93°, I = 29; 60.54°, I = 24; 60.60°, I = 17; 63.50°, I = 6; 83.07°, I = 11; 85.69°, I = 9

Structure:
```
19
Lattice="6.209 0.000 0.000 -3.094 8.975 0.000 -2.073 -0.727 11.113" Properties=species:S:1:pos:R:3 pbc="T T T"
Pm 0.000 0.000 0.000
Pm -2.065 7.159 5.847
Pm -0.008 2.150 10.531
Pm 1.049 6.098 0.582
Pm 3.106 1.090 5.266
Y -1.031 3.232 1.183
Y -2.062 6.449 2.350
Y -0.005 0.725 3.519
Y 0.008 1.442 7.013
Y -1.029 4.659 8.173
Y -2.062 7.893 9.354
Y 3.103 0.356 1.759
Y 2.070 3.589 2.941
Y 1.034 6.807 4.100
Y 1.047 7.523 7.594
Y 3.103 1.800 8.763
Y 2.072 5.017 9.931
Ho -1.036 3.949 4.690
Ho 2.077 4.300 6.423
```

# 3
For Ho4Cu2Hg, a crystal structure in Alexandria, relaxed with GGA-PBE gives the calculated XRD peak list in this record (Cu Kα).

Top 8 peaks for 15° ≤ 2θ ≤ 90°, in order of rising 2θ:
25.47°, I = 23; 27.87°, I = 16; 36.06°, I = 100; 36.61°, I = 89; 52.33°, I = 32; 64.83°, I = 18; 65.20°, I = 33; 87.92°, I = 15

Structure:
```
7
Lattice="2.491 1.438 7.959 -2.491 1.438 7.959 0.000 -2.876 7.959" Properties=species:S:1:pos:R:3 pbc="T T T"
Ho 0.000 0.000 2.801
Ho 0.000 0.000 8.826
Ho 0.000 0.000 15.052
Ho 0.000 0.000 21.077
Cu 0.000 0.000 5.939
Cu 0.000 0.000 17.939
Hg 0.000 0.000 11.939
```

# 4
For Y2BeAlAu6, a crystal structure in Alexandria, relaxed with GGA-PBE gives the calculated XRD peak list in this record (Cu Kα).

Top 8 peaks for 15° ≤ 2θ ≤ 90°, in order of rising 2θ:
23.15°, I = 27; 28.83°, I = 27; 28.98°, I = 41; 31.76°, I = 33; 36.70°, I = 100; 38.91°, I = 48; 39.44°, I = 37; 42.82°, I = 20

Structure:
```
10
Lattice="5.801 0.000 0.000 2.887 5.721 0.000 2.890 1.080 6.162" Properties=species:S:1:pos:R:3 pbc="T T T"
Y 2.893 1.785 1.933
Y 8.685 5.015 4.229
Be 0.000 0.000 0.000
Al 5.789 3.400 3.081
Au 4.349 4.807 1.520
Au 5.782 4.588 5.421
Au 4.364 1.981 4.652
Au 7.214 4.820 1.511
Au 5.796 2.212 0.741
Au 7.229 1.993 4.642
```

# 5
For LiMgH14Cl3O7, a crystal structure in Alexandria, relaxed with GGA-PBE gives the calculated XRD peak list in this record (Cu Kα).

Top 8 peaks for 15° ≤ 2θ ≤ 90°, in order of rising 2θ:
22.05°, I = 49; 23.21°, I = 95; 23.39°, I = 45; 26.11°, I = 56; 26.82°, I = 100; 30.28°, I = 37; 30.54°, I = 37; 33.02°, I = 49

Structure:
```
26
Lattice="6.654 0.000 0.000 0.277 6.659 0.000 0.226 0.310 6.825" Properties=species:S:1:pos:R:3 pbc="T T T"
Li 0.000 0.000 0.000
Mg 4.259 4.146 3.958
H 1.124 2.156 0.867
H 1.959 5.548 3.654
H 1.947 4.592 2.399
H 2.203 1.014 0.877
H 2.619 1.876 4.449
H 2.915 4.778 6.280
H 3.907 1.865 5.353
H 4.116 5.793 6.233
H 4.591 2.491 1.672
H 4.867 6.392 2.502
H 5.531 3.749 1.603
H 5.929 6.374 3.675
H 6.539 3.906 5.544
H 6.524 2.688 4.545
Cl 0.743 4.339 0.522
Cl 0.744 0.689 4.496
Cl 4.364 0.610 0.475
O 1.232 1.178 0.924
O 2.408 4.770 3.248
O 3.496 2.306 4.576
O 3.759 4.977 5.814
O 4.763 3.366 2.085
O 5.105 5.945 3.345
O 6.103 3.559 4.733
```

# 6
For Rb4Er3ThTe8, a crystal structure in Alexandria, relaxed with GGA-PBE gives the calculated XRD peak list in this record (Cu Kα).

Top 8 peaks for 15° ≤ 2θ ≤ 90°, in order of rising 2θ:
26.72°, I = 100; 33.47°, I = 15; 36.16°, I = 35; 40.06°, I = 37; 48.81°, I = 19; 59.47°, I = 11; 64.91°, I = 16; 70.24°, I = 11

Structure:
```
16
Lattice="4.502 2.599 8.596 -4.502 2.599 8.596 0.000 -5.198 8.596" Properties=species:S:1:pos:R:3 pbc="T T T"
Rb 0.000 0.000 0.000
Rb -2.251 -1.300 8.596
Rb -2.251 1.300 17.192
Rb 0.000 2.599 8.596
Er -4.502 0.000 12.894
Er -2.251 1.300 4.298
Er 2.251 1.300 4.298
Th 0.000 0.000 12.894
Te -2.289 -1.321 14.630
Te 0.000 0.000 5.994
Te 0.000 -2.643 11.158
Te -2.289 1.321 11.158
Te 2.289 -1.321 14.630
Te 0.000 2.643 14.630
Te 0.000 0.000 19.794
Te 2.289 1.321 11.158
```

# 7
For Dy7Ir2Pt2, a crystal structure in Alexandria, relaxed with GGA-PBE gives the calculated XRD peak list in this record (Cu Kα).

Top 8 peaks for 15° ≤ 2θ ≤ 90°, in order of rising 2θ:
21.57°, I = 27; 24.57°, I = 57; 34.88°, I = 43; 37.90°, I = 100; 38.55°, I = 20; 42.40°, I = 27; 43.15°, I = 28; 56.03°, I = 22

Structure:
```
11
Lattice="4.264 -5.145 0.000 4.264 5.145 0.000 0.000 0.000 6.876" Properties=species:S:1:pos:R:3 pbc="T T T"
Dy 0.000 0.000 0.000
Dy 2.132 2.572 1.768
Dy 2.132 2.572 5.108
Dy 2.132 -2.572 1.768
Dy 2.132 -2.572 5.108
Dy 4.264 0.000 1.736
Dy 4.264 0.000 5.140
Ir 4.264 2.294 0.000
Ir 4.264 -2.294 0.000
Pt 1.999 0.000 3.438
Pt 6.528 0.000 3.438
```

# 8
For NaGa3Pb2Au12, a crystal structure in Alexandria, relaxed with GGA-PBE gives the calculated XRD peak list in this record (Cu Kα).

Top 8 peaks for 15° ≤ 2θ ≤ 90°, in order of rising 2θ:
27.30°, I = 18; 30.59°, I = 100; 32.44°, I = 25; 39.88°, I = 19; 40.76°, I = 82; 46.67°, I = 33; 47.17°, I = 17; 51.81°, I = 18

Structure:
```
18
Lattice="4.428 2.556 6.018 -4.428 2.556 6.018 0.000 -5.113 6.018" Properties=species:S:1:pos:R:3 pbc="T T T"
Na 0.000 0.000 0.000
Ga -4.428 0.000 9.027
Ga -2.214 1.278 3.009
Ga 2.214 1.278 3.009
Pb 0.000 0.000 7.422
Pb 0.000 0.000 10.631
Au -2.476 -1.429 8.051
Au 0.000 -2.352 5.655
Au -2.037 1.176 5.655
Au 0.000 -2.859 10.002
Au -2.476 1.429 10.002
Au -2.037 -1.176 12.399
Au 2.037 1.176 5.655
Au 2.476 -1.429 8.051
Au 0.000 2.859 8.051
Au 2.037 -1.176 12.399
Au 0.000 2.352 12.399
Au 2.476 1.429 10.002
```

# 9
For CaAc8Sm2, a crystal structure in Alexandria, relaxed with GGA-PBE gives the calculated XRD peak list in this record (Cu Kα).

Top 8 peaks for 15° ≤ 2θ ≤ 90°, in order of rising 2θ:
27.53°, I = 15; 27.88°, I = 24; 28.59°, I = 100; 30.45°, I = 30; 32.47°, I = 17; 32.93°, I = 12; 45.11°, I = 14; 52.97°, I = 19

Structure:
```
11
Lattice="-2.936 4.956 8.272 2.936 -4.956 8.272 2.936 4.956 -8.272" Properties=species:S:1:pos:R:3 pbc="T T T"
Ca 0.000 0.000 0.000
Ac 2.936 -2.108 5.611
Ac 2.936 0.000 2.444
Ac 2.936 3.113 0.000
Ac 0.000 2.849 2.662
Ac 2.936 2.108 5.611
Ac 0.000 1.843 8.272
Ac 0.000 4.956 5.829
Ac 0.000 7.064 2.662
Sm 0.000 0.000 4.890
Sm 0.000 0.000 11.655
```

# 10
For Tl2OsRu, a crystal structure in Alexandria, relaxed with GGA-PBE gives the calculated XRD peak list in this record (Cu Kα).

Top 8 peaks for 15° ≤ 2θ ≤ 90°, in order of rising 2θ:
27.63°, I = 30; 31.99°, I = 40; 33.35°, I = 100; 37.89°, I = 71; 40.57°, I = 90; 52.31°, I = 22; 52.58°, I = 41; 66.38°, I = 28

Structure:
```
4
Lattice="2.880 0.000 0.000 0.000 3.498 0.000 0.000 0.000 8.392" Properties=species:S:1:pos:R:3 pbc="T T T"
Tl 0.000 0.000 0.000
Tl 1.440 1.749 2.892
Os 0.000 0.000 5.056
Ru 1.440 1.749 6.241
```